Record 1
Y3Mg3Cu: theoretical powder diffractogram (λ = 1.5418 Å (Cu Kα)), based on DFT lattice parameters and positions (GGA-PBE).
Peak positions follow from Bragg's law for the DFT cell and can differ from measured ones.

Crystal structure
```
data_Y3Mg3Cu
_space_group_name_H-M_alt 'P 63/m m c'
_space_group_IT_number 194
_space_group_name_Hall '-P 6c 2c'
_cell_length_a 9.0955
_cell_length_b 9.0955
_cell_length_c 4.8890
_cell_angle_alpha 90.00
_cell_angle_beta 90.00
_cell_angle_gamma 120.00
loop_
_atom_site_label
_atom_site_fract_x
_atom_site_fract_y
_atom_site_fract_z
Y1 0.1518 0.3037 0.2500
Mg1 0.1163 0.5582 0.7500
Cu1 0.3333 0.6667 0.2500
```

Principal peaks in the range 5 to 70 degrees two-theta, in order of falling intensity:
2θ 35.30, intensity 100.0, hkl 2 1 1
2θ 29.12, intensity 60.0, hkl 2 0 1
2θ 39.64, intensity 39.3, hkl 2 2 0
2θ 21.39, intensity 31.1, hkl 1 0 1
2θ 36.77, intensity 29.7, hkl 0 0 2
2θ 55.17, intensity 28.9, hkl 2 2 2
2θ 22.58, intensity 28.3, hkl 2 0 0
2θ 65.27, intensity 15.4, hkl 2 1 3
2θ 61.88, intensity 15.0, hkl 5 0 1
2θ 43.58, intensity 9.6, hkl 2 0 2

***

Record 2
Y2MgZn12Cu3: theoretical powder diffractogram (λ = 1.5418 Å (Cu Kα)), based on DFT lattice parameters and positions (GGA-PBE).
Peak positions follow from Bragg's law for the DFT cell and can differ from measured ones.

Crystal structure
```
data_Y2MgZn12Cu3
_space_group_name_H-M_alt 'R -3 m'
_space_group_IT_number 166
_space_group_name_Hall '-R 3 2"'
_cell_length_a 8.9038
_cell_length_b 8.9038
_cell_length_c 16.3570
_cell_angle_alpha 90.00
_cell_angle_beta 90.00
_cell_angle_gamma 120.00
loop_
_atom_site_label
_atom_site_fract_x
_atom_site_fract_y
_atom_site_fract_z
Y1 0.0000 0.0000 0.1021
Mg1 0.0000 0.0000 0.5000
Zn1 0.0085 0.5043 0.8555
Zn2 0.0208 0.5104 0.3106
Cu1 0.0000 0.5000 0.0000
```

Principal peaks in the range 5 to 70 degrees two-theta, in order of falling intensity:
2θ 40.53, intensity 100.0, hkl 2 2 0
2θ 23.71, intensity 50.5, hkl 0 2 1
2θ 45.38, intensity 26.7, hkl 0 2 7
2θ 38.73, intensity 24.1, hkl 1 1 6
2θ 53.12, intensity 23.5, hkl 2 2 6
2θ 36.00, intensity 19.9, hkl 2 0 5
2θ 32.85, intensity 17.0, hkl 0 0 6
2θ 32.62, intensity 11.9, hkl 1 2 2
2θ 48.69, intensity 10.6, hkl 0 3 6
2θ 25.84, intensity 10.2, hkl 1 1 3